Theoretical powder XRD pattern of KNa2AlH6 for CuKα, from a DFT-relaxed cell (GGA-PBE, the Materials Project).

Peak list (10 most intense, 5° ≤ 2θ ≤ 70°, by angle)
| d/Å | Rel. int. | hkl |
| --- | --- | --- |
| 11.274 | 35 | 0 0 1 |
| 4.531 | 56 | 1 0 -2 |
| 3.688 | 31 | 1 1 -1 |
| 3.369 | 21 | 2 0 -1 |
| 3.236 | 53 | 2 0 1 |
| 3.119 | 100 | 1 1 2 |
| 2.768 | 27 | 2 1 0 |
| 2.745 | 41 | 1 1 -3 |
| 2.268 | 24 | 2 0 -4 |
| 1.978 | 23 | 3 1 -2 |

Crystal structure
a = 6.918 Å, b = 4.636 Å, c = 11.304 Å
α = 90.00°, β = 94.20°, γ = 90.00°
Element x y z (fractional)
K (0.133, 0.000, 0.289)
K (0.867, 0.500, 0.711)
Na (0.334, 0.923, 0.713)
Na (0.344, 0.346, 0.945)
Na (0.656, 0.846, 0.055)
Na (0.666, 0.423, 0.287)
Al (0.404, 0.500, 0.496)
Al (0.596, 0.000, 0.504)
H (0.016, 0.850, 0.916)
H (0.025, 0.234, 0.045)
H (0.134, 0.165, 0.815)
H (0.239, 0.516, 0.597)
H (0.265, 0.505, 0.369)
H (0.484, 0.225, 0.122)
H (0.516, 0.725, 0.878)
H (0.735, 0.005, 0.631)
H (0.761, 0.016, 0.403)
H (0.866, 0.665, 0.185)
H (0.975, 0.734, 0.955)
H (0.984, 0.350, 0.084)